This entry pairs a crystal structure of Gd3CuSnS7 with its calculated XRD peak list. Radiation: Cu Kα. Structure: the GGA-PBE geometry in the Materials Project.
Intensities are scaled so that the largest is 1000.

Top 10 peaks for 5 to 70 degrees two-theta, low angle first:
- 20.73°, I 168
- 22.96°, I 142
- 25.23°, I 1000
- 28.67°, I 207
- 35.65°, I 278
- 36.32°, I 498
- 37.86°, I 141
- 40.18°, I 213
- 46.92°, I 219
- 48.75°, I 259

Structural model:
```
data_Gd3CuSnS7
_chemical_formula_sum 'Gd6 Cu2 Sn2 S14'
_space_group_name_H-M_alt 'P 63'
_space_group_IT_number 173
_space_group_name_Hall 'P 6c'
_cell_length_a 9.8939
_cell_length_b 9.8939
_cell_length_c 6.2265
_cell_angle_alpha 90.00
_cell_angle_beta 90.00
_cell_angle_gamma 120.00
loop_
_atom_site_label
_atom_site_fract_x
_atom_site_fract_y
_atom_site_fract_z
Gd1 0.1414 0.7827 0.0000
Cu1 0.0000 0.0000 0.3998
Sn1 0.3333 0.6667 0.5664
S1 0.0845 0.5160 0.7460
S2 0.1070 0.8485 0.4291
S3 0.3333 0.6667 0.1818
```